Starting from the PBE geometry in the Materials Project, the powder XRD pattern of RuF4 was simulated for Cu Kα X-rays.
Kinematic intensities with the Lorentz-polarization factor, no thermal factor.

Main lines, by angle (2θ from 10° to 90°):
d [Å]	2θ (°)	intensity	hkl
4.849	18.3	1000	1 0 0
3.523	25.3	881	0 1 1
3.433	26.0	783	1 1 -1
2.755	32.5	212	1 0 -2
2.396	37.5	238	2 1 -1
1.716	53.4	344	1 1 -3

Atomic structure:
a = 5.4465 Å, b = 5.0555 Å, c = 5.5185 Å
α = 90.00°, β = 117.09°, γ = 90.00°
Space group P2_1/c (No. 14)
Unique sites:
Ru1 0.0000 0.0000 0.0000
F1 0.1196 0.1681 0.3728
F2 0.3477 0.6464 0.6134